1.
Diffraction record for MgTe2MoW2Se2S2. The PXRD pattern is calculated, not measured: it uses a DFT-relaxed cell (PBE, the Materials Project) and Cu Kα, 1.54184 Å.
Lines closer than 0.1° are merged.

Top 10 peaks for 10 to 90 degrees two-theta, low angle first:
- (0 0 4), 2θ 11.38, d 7.776, I = 100
- (0 0 5), 2θ 14.24, d 6.221, I = 12
- (0 1 0), 2θ 30.92, d 2.892, I = 26
- (1 1 1), 2θ 31.05, d 2.880, I = 12
- (0 1 -4), 2θ 33.04, d 2.711, I = 18
- (1 1 6), 2θ 35.54, d 2.526, I = 43
- (1 1 -7), 2θ 37.09, d 2.424, I = 45
- (1 1 10), 2θ 42.69, d 2.118, I = 18
- (0 1 -11), 2θ 44.83, d 2.022, I = 34
- (1 -1 0), 2θ 55.01, d 1.669, I = 25

Atomic structure:
a b c (Å): 3.3396 3.3398 31.1046
angles (deg): 90.00 90.00 60.00
Space group P1 (No. 1)
Inequivalent atoms, fractional coordinates:
1 Mg 0.0000 0.0000 0.0000 (multiplicity 1)
2 Te 0.9623 0.9318 0.2256 (multiplicity 1)
3 Te 0.9623 0.9318 0.3484 (multiplicity 1)
4 Mo 0.9622 0.9317 0.5185 (multiplicity 1)
5 W 0.2956 0.2651 0.2869 (multiplicity 1)
6 W 0.2956 0.2651 0.7497 (multiplicity 1)
7 Se 0.2956 0.2651 0.4647 (multiplicity 1)
8 Se 0.2956 0.2651 0.5721 (multiplicity 1)
9 S 0.9623 0.9318 0.7007 (multiplicity 1)
10 S 0.9623 0.9318 0.7987 (multiplicity 1)

---

2.
Diffraction record for MgTe2Mo3WSe4S2. The PXRD pattern is calculated, not measured: it uses a DFT-relaxed cell (PBE, the Materials Project) and Cu Kα, 1.54184 Å.
Lines closer than 0.1° are merged.

Top 10 peaks for 10 to 90 degrees two-theta, low angle first:
- (0 0 6), 2θ 11.72, d 7.553, I = 58
- (1 0 0), 2θ 30.90, d 2.894, I = 55
- (0 1 5), 2θ 32.46, d 2.758, I = 29
- (0 1 8), 2θ 34.80, d 2.578, I = 70
- (1 0 10), 2θ 36.84, d 2.440, I = 19
- (1 0 11), 2θ 37.99, d 2.369, I = 23
- (1 0 13), 2θ 40.50, d 2.227, I = 100
- (0 0 21), 2θ 41.86, d 2.158, I = 30
- (1 1 0), 2θ 54.93, d 1.671, I = 39
- (1 1 5), 2θ 55.94, d 1.644, I = 20

Atomic structure:
a b c (Å): 3.3431 3.3431 45.3206
angles (deg): 90.00 90.00 120.00
Space group P3m1 (No. 156)
Inequivalent atoms, fractional coordinates:
1 Mg 0.0000 0.0000 0.0000 (multiplicity 1)
2 Te 0.3333 0.6667 0.0685 (multiplicity 1)
3 Te 0.3333 0.6667 0.1524 (multiplicity 1)
4 Mo 0.3333 0.6667 0.5402 (multiplicity 1)
5 Mo 0.3333 0.6667 0.9085 (multiplicity 1)
6 Mo 0.6667 0.3333 0.1106 (multiplicity 1)
7 W 0.6667 0.3333 0.7281 (multiplicity 1)
8 Se 0.3333 0.6667 0.6911 (multiplicity 1)
9 Se 0.3333 0.6667 0.7650 (multiplicity 1)
10 Se 0.6667 0.3333 0.5034 (multiplicity 1)
11 Se 0.6667 0.3333 0.5769 (multiplicity 1)
12 S 0.6667 0.3333 0.8753 (multiplicity 1)
13 S 0.6667 0.3333 0.9425 (multiplicity 1)

---

3.
Diffraction record for MgTe4Mo3WSe2S2. The PXRD pattern is calculated, not measured: it uses a DFT-relaxed cell (PBE, the Materials Project) and Cu Kα, 1.54184 Å.
Lines closer than 0.1° are merged.

Top 10 peaks for 10 to 90 degrees two-theta, low angle first:
- (0 0 6), 2θ 11.29, d 7.839, I = 50
- (2 0 0), 2θ 30.46, d 2.935, I = 53
- (2 0 -1), 2θ 30.52, d 2.929, I = 22
- (1 1 -5), 2θ 31.94, d 2.802, I = 33
- (2 0 8), 2θ 34.15, d 2.626, I = 71
- (1 1 11), 2θ 37.16, d 2.420, I = 32
- (1 1 13), 2θ 39.54, d 2.279, I = 100
- (2 0 14), 2θ 40.83, d 2.210, I = 35
- (3 1 0), 2θ 54.13, d 1.694, I = 43
- (3 1 -5), 2θ 55.07, d 1.668, I = 20

Atomic structure:
a b c (Å): 5.8692 3.3890 47.0330
angles (deg): 90.00 90.04 90.00
Space group Cm (No. 8)
Inequivalent atoms, fractional coordinates:
1 Mg 0.0000 0.0000 0.0000 (multiplicity 2)
2 Te 0.1663 0.5000 0.4873 (multiplicity 2)
3 Te 0.1669 0.5000 0.5671 (multiplicity 2)
4 Te 0.1665 0.5000 0.8556 (multiplicity 2)
5 Te 0.1670 0.5000 0.9357 (multiplicity 2)
6 Mo 0.1664 0.5000 0.0991 (multiplicity 2)
7 Mo 0.3332 0.0000 0.5272 (multiplicity 2)
8 Mo 0.3334 0.0000 0.8954 (multiplicity 2)
9 W 0.1666 0.5000 0.7149 (multiplicity 2)
10 Se 0.3330 0.0000 0.0636 (multiplicity 2)
11 Se 0.3331 0.0000 0.1341 (multiplicity 2)
12 S 0.3330 0.0000 0.6828 (multiplicity 2)
13 S 0.3334 0.0000 0.7470 (multiplicity 2)

---

4.
Diffraction record for MgTe2Mo3WSe4S2. The PXRD pattern is calculated, not measured: it uses a DFT-relaxed cell (PBE, the Materials Project) and Cu Kα, 1.54184 Å.
Lines closer than 0.1° are merged.

Top 10 peaks for 10 to 90 degrees two-theta, low angle first:
- (0 0 5), 2θ 10.18, d 8.686, I = 100
- (0 0 6), 2θ 12.23, d 7.238, I = 16
- (1 1 0), 2θ 30.88, d 2.896, I = 24
- (1 1 2), 2θ 31.15, d 2.871, I = 10
- (1 1 5), 2θ 32.59, d 2.748, I = 14
- (1 0 -8), 2θ 35.12, d 2.555, I = 39
- (1 1 -10), 2θ 37.32, d 2.410, I = 20
- (1 1 13), 2θ 41.24, d 2.189, I = 36
- (2 1 0), 2θ 54.92, d 1.672, I = 19
- (2 1 5), 2θ 56.00, d 1.642, I = 8

Atomic structure:
a b c (Å): 3.3439 3.3444 43.4310
angles (deg): 89.90 89.84 60.01
Space group P1 (No. 1)
Inequivalent atoms, fractional coordinates:
1 Mg 0.0000 0.0000 0.0000 (multiplicity 1)
2 Te 0.3291 0.3335 0.7670 (multiplicity 1)
3 Te 0.3319 0.3340 0.6796 (multiplicity 1)
4 Mo 0.3292 0.3339 0.9059 (multiplicity 1)
5 Mo 0.6638 0.6672 0.7233 (multiplicity 1)
6 Mo 0.6643 0.6675 0.1051 (multiplicity 1)
7 W 0.3309 0.3338 0.2874 (multiplicity 1)
8 Se 0.3298 0.3339 0.1433 (multiplicity 1)
9 Se 0.3323 0.3342 0.0662 (multiplicity 1)
10 Se 0.6629 0.6670 0.3259 (multiplicity 1)
11 Se 0.6654 0.6674 0.2488 (multiplicity 1)
12 S 0.6614 0.6672 0.9415 (multiplicity 1)
13 S 0.6636 0.6675 0.8713 (multiplicity 1)

---

5.
Diffraction record for MgTe4Mo3WSe2S2. The PXRD pattern is calculated, not measured: it uses a DFT-relaxed cell (PBE, the Materials Project) and Cu Kα, 1.54184 Å.
Lines closer than 0.1° are merged.

Top 10 peaks for 10 to 90 degrees two-theta, low angle first:
- (0 0 6), 2θ 11.92, d 7.422, I = 38
- (1 0 0), 2θ 30.46, d 2.935, I = 71
- (1 0 5), 2θ 32.09, d 2.789, I = 30
- (0 1 8), 2θ 34.53, d 2.598, I = 83
- (0 1 10), 2θ 36.65, d 2.452, I = 37
- (1 0 13), 2θ 40.45, d 2.230, I = 100
- (0 1 14), 2θ 41.86, d 2.158, I = 24
- (1 1 0), 2θ 54.08, d 1.696, I = 41
- (1 1 5), 2θ 55.12, d 1.666, I = 26
- (0 2 13), 2θ 69.66, d 1.350, I = 20

Atomic structure:
a b c (Å): 3.3915 3.3915 44.5349
angles (deg): 90.00 90.00 120.00
Space group P3m1 (No. 156)
Inequivalent atoms, fractional coordinates:
1 Mg 0.0000 0.0000 0.0000 (multiplicity 1)
2 Te 0.3333 0.6667 0.2423 (multiplicity 1)
3 Te 0.3333 0.6667 0.3266 (multiplicity 1)
4 Te 0.6667 0.3333 0.6783 (multiplicity 1)
5 Te 0.6667 0.3333 0.7626 (multiplicity 1)
6 Mo 0.3333 0.6667 0.7205 (multiplicity 1)
7 Mo 0.6667 0.3333 0.2844 (multiplicity 1)
8 Mo 0.6667 0.3333 0.9038 (multiplicity 1)
9 W 0.3333 0.6667 0.1030 (multiplicity 1)
10 Se 0.3333 0.6667 0.8669 (multiplicity 1)
11 Se 0.3333 0.6667 0.9415 (multiplicity 1)
12 S 0.6667 0.3333 0.0692 (multiplicity 1)
13 S 0.6667 0.3333 0.1367 (multiplicity 1)

---

6.
Diffraction record for MgTe4Mo3WSe2S2. The PXRD pattern is calculated, not measured: it uses a DFT-relaxed cell (PBE, the Materials Project) and Cu Kα, 1.54184 Å.
Lines closer than 0.1° are merged.

Top 10 peaks for 10 to 90 degrees two-theta, low angle first:
- (0 0 5), 2θ 11.46, d 7.724, I = 100
- (0 0 6), 2θ 13.76, d 6.436, I = 15
- (1 1 0), 2θ 30.51, d 2.930, I = 61
- (1 1 -8), 2θ 35.83, d 2.506, I = 92
- (0 1 10), 2θ 38.55, d 2.336, I = 17
- (0 1 -13), 2θ 43.36, d 2.087, I = 51
- (0 1 14), 2θ 45.12, d 2.009, I = 17
- (2 1 0), 2θ 54.17, d 1.693, I = 31
- (0 2 -8), 2θ 66.66, d 1.403, I = 15
- (1 2 21), 2θ 76.47, d 1.246, I = 14

Atomic structure:
a b c (Å): 3.3863 3.3863 38.6185
angles (deg): 90.00 90.00 60.00
Space group P1 (No. 1)
Inequivalent atoms, fractional coordinates:
1 Mg 0.0000 0.0000 0.0000 (multiplicity 1)
2 Te 0.0073 0.9256 0.7316 (multiplicity 1)
3 Te 0.0073 0.9256 0.8289 (multiplicity 1)
4 Te 0.6740 0.5923 0.1680 (multiplicity 1)
5 Te 0.6740 0.5923 0.2652 (multiplicity 1)
6 Mo 0.0073 0.9257 0.2165 (multiplicity 1)
7 Mo 0.0074 0.9257 0.5923 (multiplicity 1)
8 Mo 0.6740 0.5922 0.7803 (multiplicity 1)
9 W 0.6739 0.5922 0.4045 (multiplicity 1)
10 Se 0.6740 0.5923 0.5495 (multiplicity 1)
11 Se 0.6740 0.5923 0.6351 (multiplicity 1)
12 S 0.0073 0.9256 0.3654 (multiplicity 1)
13 S 0.0073 0.9256 0.4435 (multiplicity 1)

---

7.
Diffraction record for MgTe2MoW2Se2S2. The PXRD pattern is calculated, not measured: it uses a DFT-relaxed cell (PBE, the Materials Project) and Cu Kα, 1.54184 Å.
Lines closer than 0.1° are merged.

Top 10 peaks for 10 to 90 degrees two-theta, low angle first:
- (0 0 5), 2θ 11.75, d 7.528, I = 45
- (1 0 0), 2θ 30.82, d 2.901, I = 53
- (1 0 2), 2θ 31.18, d 2.868, I = 34
- (0 1 4), 2θ 32.28, d 2.773, I = 47
- (0 1 6), 2θ 34.04, d 2.634, I = 61
- (1 0 7), 2θ 35.14, d 2.554, I = 48
- (0 1 8), 2θ 36.37, d 2.470, I = 38
- (0 1 10), 2θ 39.20, d 2.298, I = 63
- (1 0 11), 2θ 40.77, d 2.213, I = 100
- (1 1 0), 2θ 54.79, d 1.675, I = 45

Atomic structure:
a b c (Å): 3.3511 3.3511 37.6425
angles (deg): 90.00 90.00 120.00
Space group P3m1 (No. 156)
Inequivalent atoms, fractional coordinates:
1 Mg 0.0000 0.0000 0.0000 (multiplicity 1)
2 Te 0.6667 0.3333 0.2812 (multiplicity 1)
3 Te 0.6667 0.3333 0.3823 (multiplicity 1)
4 Mo 0.6667 0.3333 0.1062 (multiplicity 1)
5 W 0.3333 0.6667 0.3317 (multiplicity 1)
6 W 0.3333 0.6667 0.8599 (multiplicity 1)
7 Se 0.6667 0.3333 0.8155 (multiplicity 1)
8 Se 0.6667 0.3333 0.9045 (multiplicity 1)
9 S 0.3333 0.6667 0.0651 (multiplicity 1)
10 S 0.3333 0.6667 0.1460 (multiplicity 1)

---

8.
Diffraction record for MgTe2Mo3WSe4S2. The PXRD pattern is calculated, not measured: it uses a DFT-relaxed cell (PBE, the Materials Project) and Cu Kα, 1.54184 Å.
Lines closer than 0.1° are merged.

Top 10 peaks for 10 to 90 degrees two-theta, low angle first:
- (0 0 6), 2θ 11.87, d 7.458, I = 33
- (1 0 0), 2θ 30.90, d 2.894, I = 46
- (1 0 5), 2θ 32.50, d 2.755, I = 28
- (1 0 8), 2θ 34.89, d 2.571, I = 72
- (1 0 11), 2θ 38.16, d 2.359, I = 30
- (1 0 13), 2θ 40.72, d 2.216, I = 100
- (1 1 0), 2θ 54.93, d 1.672, I = 36
- (1 1 5), 2θ 55.96, d 1.643, I = 19
- (0 2 13), 2θ 70.58, d 1.334, I = 19
- (1 1 26), 2θ 80.04, d 1.199, I = 17

Atomic structure:
a b c (Å): 3.3432 3.3432 44.7498
angles (deg): 90.00 90.00 120.00
Space group P3m1 (No. 156)
Inequivalent atoms, fractional coordinates:
1 Mg 0.0000 0.0000 0.0000 (multiplicity 1)
2 Te 0.6667 0.3333 0.4974 (multiplicity 1)
3 Te 0.6667 0.3333 0.5822 (multiplicity 1)
4 Mo 0.3333 0.6667 0.5398 (multiplicity 1)
5 Mo 0.3333 0.6667 0.9103 (multiplicity 1)
6 Mo 0.6667 0.3333 0.7285 (multiplicity 1)
7 W 0.6667 0.3333 0.1110 (multiplicity 1)
8 Se 0.3333 0.6667 0.0734 (multiplicity 1)
9 Se 0.3333 0.6667 0.1484 (multiplicity 1)
10 Se 0.3333 0.6667 0.6913 (multiplicity 1)
11 Se 0.3333 0.6667 0.7657 (multiplicity 1)
12 S 0.6667 0.3333 0.8767 (multiplicity 1)
13 S 0.6667 0.3333 0.9449 (multiplicity 1)

---

9.
Diffraction record for MgTe4Mo3WSe2S2. The PXRD pattern is calculated, not measured: it uses a DFT-relaxed cell (PBE, the Materials Project) and Cu Kα, 1.54184 Å.
Lines closer than 0.1° are merged.

Top 10 peaks for 10 to 90 degrees two-theta, low angle first:
- (0 0 6), 2θ 11.52, d 7.683, I = 39
- (1 0 0), 2θ 30.43, d 2.938, I = 59
- (1 0 5), 2θ 31.96, d 2.800, I = 30
- (0 1 8), 2θ 34.25, d 2.618, I = 78
- (1 0 11), 2θ 37.37, d 2.406, I = 55
- (0 1 13), 2θ 39.84, d 2.263, I = 100
- (0 0 21), 2θ 41.16, d 2.193, I = 37
- (1 1 0), 2θ 54.05, d 1.697, I = 43
- (1 1 5), 2θ 55.03, d 1.669, I = 20
- (2 0 13), 2θ 69.21, d 1.357, I = 19

Atomic structure:
a b c (Å): 3.3935 3.3935 46.0990
angles (deg): 90.00 90.00 120.00
Space group P3m1 (No. 156)
Inequivalent atoms, fractional coordinates:
1 Mg 0.0000 0.0000 0.0000 (multiplicity 1)
2 Te 0.3333 0.6667 0.0642 (multiplicity 1)
3 Te 0.3333 0.6667 0.1459 (multiplicity 1)
4 Te 0.3333 0.6667 0.4326 (multiplicity 1)
5 Te 0.3333 0.6667 0.5143 (multiplicity 1)
6 Mo 0.3333 0.6667 0.2857 (multiplicity 1)
7 Mo 0.3333 0.6667 0.9014 (multiplicity 1)
8 Mo 0.6667 0.3333 0.1053 (multiplicity 1)
9 W 0.6667 0.3333 0.4735 (multiplicity 1)
10 Se 0.6667 0.3333 0.8657 (multiplicity 1)
11 Se 0.6667 0.3333 0.9377 (multiplicity 1)
12 S 0.6667 0.3333 0.2531 (multiplicity 1)
13 S 0.6667 0.3333 0.3183 (multiplicity 1)

---

10.
Diffraction record for MgTe4Mo3WSe2S2. The PXRD pattern is calculated, not measured: it uses a DFT-relaxed cell (PBE, the Materials Project) and Cu Kα, 1.54184 Å.
Lines closer than 0.1° are merged.

Top 10 peaks for 10 to 90 degrees two-theta, low angle first:
- (0 0 5), 2θ 10.11, d 8.750, I = 100
- (0 0 6), 2θ 12.14, d 7.292, I = 13
- (2 0 0), 2θ 30.33, d 2.947, I = 25
- (1 1 -2), 2θ 30.60, d 2.921, I = 12
- (1 1 -5), 2θ 32.04, d 2.793, I = 13
- (2 0 8), 2θ 34.57, d 2.595, I = 44
- (1 1 10), 2θ 36.76, d 2.445, I = 24
- (2 0 13), 2θ 40.69, d 2.217, I = 49
- (1 1 -15), 2θ 43.66, d 2.073, I = 11
- (3 1 0), 2θ 53.87, d 1.702, I = 23

Atomic structure:
a b c (Å): 5.8920 3.4055 43.7516
angles (deg): 90.00 90.12 90.00
Space group Cm (No. 8)
Inequivalent atoms, fractional coordinates:
1 Mg 0.0000 0.0000 0.0000 (multiplicity 2)
2 Te 0.1705 0.5000 0.2474 (multiplicity 2)
3 Te 0.1721 0.5000 0.3329 (multiplicity 2)
4 Te 0.3375 0.0000 0.6824 (multiplicity 2)
5 Te 0.3390 0.0000 0.7684 (multiplicity 2)
6 Mo 0.1714 0.5000 0.1073 (multiplicity 2)
7 Mo 0.3378 0.0000 0.2902 (multiplicity 2)
8 Mo 0.3400 0.0000 0.9086 (multiplicity 2)
9 W 0.1717 0.5000 0.7254 (multiplicity 2)
10 Se 0.3373 0.0000 0.0695 (multiplicity 2)
11 Se 0.3385 0.0000 0.1449 (multiplicity 2)
12 S 0.1736 0.5000 0.8747 (multiplicity 2)
13 S 0.1738 0.5000 0.9435 (multiplicity 2)

---

11.
Diffraction record for MgTe4Mo3WSe2S2. The PXRD pattern is calculated, not measured: it uses a DFT-relaxed cell (PBE, the Materials Project) and Cu Kα, 1.54184 Å.
Lines closer than 0.1° are merged.

Top 10 peaks for 10 to 90 degrees two-theta, low angle first:
- (0 0 6), 2θ 11.46, d 7.724, I = 57
- (1 0 0), 2θ 30.49, d 2.932, I = 71
- (0 1 5), 2θ 31.99, d 2.798, I = 30
- (1 0 8), 2θ 34.26, d 2.618, I = 71
- (1 0 11), 2θ 37.35, d 2.408, I = 33
- (1 0 13), 2θ 39.79, d 2.266, I = 100
- (0 1 14), 2θ 41.11, d 2.196, I = 25
- (1 1 0), 2θ 54.14, d 1.694, I = 41
- (1 1 5), 2θ 55.11, d 1.667, I = 19
- (0 2 13), 2θ 69.25, d 1.357, I = 19

Atomic structure:
a b c (Å): 3.3883 3.3883 46.3444
angles (deg): 90.00 90.00 120.00
Space group P3m1 (No. 156)
Inequivalent atoms, fractional coordinates:
1 Mg 0.0000 0.0000 0.0000 (multiplicity 1)
2 Te 0.3333 0.6667 0.0635 (multiplicity 1)
3 Te 0.3333 0.6667 0.1448 (multiplicity 1)
4 Te 0.6667 0.3333 0.4939 (multiplicity 1)
5 Te 0.6667 0.3333 0.5749 (multiplicity 1)
6 Mo 0.3333 0.6667 0.5344 (multiplicity 1)
7 Mo 0.6667 0.3333 0.1044 (multiplicity 1)
8 Mo 0.6667 0.3333 0.7226 (multiplicity 1)
9 W 0.3333 0.6667 0.9011 (multiplicity 1)
10 Se 0.3333 0.6667 0.6869 (multiplicity 1)
11 Se 0.3333 0.6667 0.7582 (multiplicity 1)
12 S 0.6667 0.3333 0.8687 (multiplicity 1)
13 S 0.6667 0.3333 0.9338 (multiplicity 1)

---

12.
Diffraction record for MgTe2MoW2Se2S2. The PXRD pattern is calculated, not measured: it uses a DFT-relaxed cell (PBE, the Materials Project) and Cu Kα, 1.54184 Å.
Lines closer than 0.1° are merged.

Top 10 peaks for 10 to 90 degrees two-theta, low angle first:
- (0 0 5), 2θ 11.56, d 7.654, I = 71
- (1 0 0), 2θ 30.96, d 2.888, I = 79
- (1 0 4), 2θ 32.35, d 2.767, I = 45
- (1 0 6), 2θ 34.05, d 2.633, I = 61
- (0 1 7), 2θ 35.12, d 2.555, I = 59
- (1 0 10), 2θ 39.05, d 2.307, I = 65
- (0 1 11), 2θ 40.57, d 2.223, I = 100
- (1 0 13), 2θ 43.89, d 2.063, I = 28
- (1 1 0), 2θ 55.03, d 1.669, I = 50
- (1 1 4), 2θ 55.92, d 1.644, I = 30

Atomic structure:
a b c (Å): 3.3379 3.3379 38.2723
angles (deg): 90.00 90.00 120.00
Space group P3m1 (No. 156)
Inequivalent atoms, fractional coordinates:
1 Mg 0.0000 0.0000 0.0000 (multiplicity 1)
2 Te 0.6667 0.3333 0.6082 (multiplicity 1)
3 Te 0.6667 0.3333 0.7074 (multiplicity 1)
4 Mo 0.3333 0.6667 0.6578 (multiplicity 1)
5 W 0.3333 0.6667 0.1282 (multiplicity 1)
6 W 0.6667 0.3333 0.8812 (multiplicity 1)
7 Se 0.6667 0.3333 0.0841 (multiplicity 1)
8 Se 0.6667 0.3333 0.1720 (multiplicity 1)
9 S 0.3333 0.6667 0.8416 (multiplicity 1)
10 S 0.3333 0.6667 0.9212 (multiplicity 1)